Diffraction record for LiAc2NiO5. The powder diffraction line list is computed, not measured: it uses a crystal structure in Alexandria, relaxed with GGA+U and λ = 1.5418 Å (Cu Kα).
Neutral-atom scattering factors, no anomalous dispersion.

The 10 most intense peaks (2θ from 10° to 90°), by angle:
(0 0 1), 2θ = 15.7°, 5.653 Å, I 100
(1 1 0), 2θ = 17.5°, 5.055 Å, I 27
(2 1 0), 2θ = 27.9°, 3.197 Å, I 47
(2 0 1), 2θ = 29.6°, 3.021 Å, I 73
(0 0 2), 2θ = 31.7°, 2.826 Å, I 28
(2 1 1), 2θ = 32.2°, 2.783 Å, I 97
(2 1 2), 2θ = 42.7°, 2.118 Å, I 57
(3 1 1), 2θ = 43.1°, 2.099 Å, I 29
(4 1 1), 2θ = 55.4°, 1.658 Å, I 35
(4 1 2), 2θ = 62.9°, 1.478 Å, I 24

Cell and atoms:
a = 7.149 Å, b = 7.149 Å, c = 5.653 Å
α = 90.00°, β = 90.00°, γ = 90.00°
Sites, in units of the cell vectors:
Li: 0.000 0.000 0.000
Li: 0.500 0.500 0.000
Ac: 0.181 0.319 0.500
Ac: 0.319 0.819 0.500
Ac: 0.681 0.181 0.500
Ac: 0.819 0.681 0.500
Ni: 0.000 0.500 0.000
Ni: 0.500 0.000 0.000
O: 0.000 0.000 0.500
O: 0.126 0.626 0.233
O: 0.126 0.626 0.767
O: 0.374 0.126 0.233
O: 0.374 0.126 0.767
O: 0.500 0.500 0.500
O: 0.626 0.874 0.233
O: 0.626 0.874 0.767
O: 0.874 0.374 0.233
O: 0.874 0.374 0.767